For Li3Ge4Pd2Rh2, a cell relaxed with PBE gives the calculated X-ray powder pattern in this record (copper Kα).
Peak positions follow from Bragg's law for the DFT cell and can differ from measured ones.

Cell and atoms:
```
data_Li3Ge4Pd2Rh2
_chemical_formula_sum 'Li3 Ge4 Pd2 Rh2'
_space_group_name_H-M_alt 'P -3 m 1'
_space_group_IT_number 164
_space_group_name_Hall '-P 3 2"'
_cell_length_a 4.2972
_cell_length_b 4.2972
_cell_length_c 10.4025
_cell_angle_alpha 90.00
_cell_angle_beta 90.00
_cell_angle_gamma 120.00
loop_
_atom_site_label
_atom_site_fract_x
_atom_site_fract_y
_atom_site_fract_z
_atom_site_occupancy
Li1 0.0000 0.0000 0.0000 1
Li2 0.0000 0.0000 0.2692 1
Ge1 0.3333 0.6667 0.3577 1
Ge2 0.3333 0.6667 0.8440 1
Pd1 0.3333 0.6667 0.0986 1
Rh1 0.3333 0.6667 0.5970 1
```

Principal peaks in the range 2θ = 10–80°, low angle first:
2θ = 23.9°, I 100
2θ = 34.5°, I 33
2θ = 42.1°, I 100
2θ = 42.4°, I 83
2θ = 55.5°, I 50
2θ = 77.1°, I 28

For Sr2LiGePd6, a cell relaxed with PBE gives the calculated X-ray powder pattern in this record (copper Kα).
Peak positions follow from Bragg's law for the DFT cell and can differ from measured ones.

Cell and atoms:
```
data_Sr2LiGePd6
_chemical_formula_sum 'Sr2 Li1 Ge1 Pd6'
_space_group_name_H-M_alt 'P -1'
_space_group_IT_number 2
_cell_length_a 6.509
_cell_length_b 6.545
_cell_length_c 6.673
_cell_angle_alpha 61.27
_cell_angle_beta 61.37
_cell_angle_gamma 60.49
loop_
_space_group_symop_operation_xyz
'x,y,z'
'-x,-y,-z'
loop_
_atom_site_label
_atom_site_fract_x
_atom_site_fract_y
_atom_site_fract_z
_atom_site_occupancy
Sr1 0.220 0.220 0.342 1
Li1 0.000 0.000 0.000 1
Ge1 0.500 0.500 0.500 1
Pd1 0.243 0.670 0.838 1
Pd2 0.246 0.245 0.833 1
Pd3 0.330 0.756 0.161 1
```

Principal peaks in the range 2θ = 10–80°, low angle first:
2θ = 31.2°, I 46
2θ = 33.2°, I 73
2θ = 33.4°, I 72
2θ = 33.7°, I 73
2θ = 38.4°, I 100
2θ = 38.5°, I 51

For LiPm6Ge4, a cell relaxed with PBE gives the calculated X-ray powder pattern in this record (copper Kα).
Peak positions follow from Bragg's law for the DFT cell and can differ from measured ones.

Cell and atoms:
```
data_LiPm6Ge4
_chemical_formula_sum 'Li1 Pm6 Ge4'
_space_group_name_H-M_alt 'P -6 m 2'
_space_group_IT_number 187
_space_group_name_Hall 'P -6 2'
_cell_length_a 9.2930
_cell_length_b 9.2930
_cell_length_c 4.1613
_cell_angle_alpha 90.00
_cell_angle_beta 90.00
_cell_angle_gamma 120.00
loop_
_atom_site_label
_atom_site_fract_x
_atom_site_fract_y
_atom_site_fract_z
_atom_site_occupancy
Li1 0.0000 0.0000 0.0000 1
Pm1 0.1910 0.3820 0.5000 1
Pm2 0.5384 0.0769 0.0000 1
Ge1 0.3333 0.6667 0.0000 1
Ge2 0.3498 0.1749 0.5000 1
```

Principal peaks in the range 2θ = 10–80°, low angle first:
2θ = 11.0°, I 36
2θ = 24.1°, I 32
2θ = 30.9°, I 100
2θ = 33.4°, I 41
2θ = 36.6°, I 78
2θ = 38.8°, I 41

For Li2PmGe4, a cell relaxed with PBE gives the calculated X-ray powder pattern in this record (copper Kα).
Peak positions follow from Bragg's law for the DFT cell and can differ from measured ones.

Cell and atoms:
```
data_Li2PmGe4
_chemical_formula_sum 'Li4 Pm2 Ge8'
_space_group_name_H-M_alt 'I 4/m m m'
_space_group_IT_number 139
_space_group_name_Hall '-I 4 2'
_cell_length_a 6.866
_cell_length_b 6.866
_cell_length_c 5.700
_cell_angle_alpha 90.00
_cell_angle_beta 90.00
_cell_angle_gamma 90.00
loop_
_atom_site_label
_atom_site_fract_x
_atom_site_fract_y
_atom_site_fract_z
_atom_site_occupancy
Li1 0.000 0.500 0.250 1
Pm1 0.000 0.000 0.000 1
Ge1 0.192 0.192 0.500 1
```

Principal peaks in the range 2θ = 10–80°, low angle first:
2θ = 18.3°, I 64
2θ = 31.4°, I 54
2θ = 33.1°, I 100
2θ = 37.0°, I 38
2θ = 42.6°, I 83
2θ = 57.0°, I 35

For LiPmGePt2, a cell relaxed with PBE gives the calculated X-ray powder pattern in this record (copper Kα).
Peak positions follow from Bragg's law for the DFT cell and can differ from measured ones.

Cell and atoms:
```
data_LiPmGePt2
_chemical_formula_sum 'Li2 Pm2 Ge2 Pt4'
_space_group_name_H-M_alt 'I m m 2'
_space_group_IT_number 44
_cell_length_a 3.884
_cell_length_b 4.193
_cell_length_c 11.585
_cell_angle_alpha 90.00
_cell_angle_beta 90.00
_cell_angle_gamma 90.00
loop_
_space_group_symop_operation_xyz
'x,y,z'
'-x,-y,z'
'-x,y,z'
'x,-y,z'
'x+1/2,y+1/2,z+1/2'
'-x+1/2,-y+1/2,z+1/2'
'-x+1/2,y+1/2,z+1/2'
'x+1/2,-y+1/2,z+1/2'
loop_
_atom_site_label
_atom_site_fract_x
_atom_site_fract_y
_atom_site_fract_z
_atom_site_occupancy
Li1 0.000 0.000 0.000 1
Pm1 0.000 0.500 0.243 1
Ge1 0.000 0.500 0.866 1
Pt1 0.000 0.000 0.497 1
Pt2 0.000 0.500 0.653 1
```

Principal peaks in the range 2θ = 10–80°, low angle first:
2θ = 24.2°, I 42
2θ = 31.5°, I 51
2θ = 35.1°, I 100
2θ = 43.1°, I 28
2θ = 44.6°, I 48
2θ = 45.6°, I 28

For Li2PmGeS4, a cell relaxed with PBE gives the calculated X-ray powder pattern in this record (copper Kα).
Peak positions follow from Bragg's law for the DFT cell and can differ from measured ones.

Cell and atoms:
```
data_Li2PmGeS4
_chemical_formula_sum 'Li8 Pm4 Ge4 S16'
_space_group_name_H-M_alt 'I m m a'
_space_group_IT_number 74
_space_group_name_Hall '-I 2b 2'
_cell_length_a 7.438
_cell_length_b 7.869
_cell_length_c 10.841
_cell_angle_alpha 90.00
_cell_angle_beta 90.00
_cell_angle_gamma 90.00
loop_
_atom_site_label
_atom_site_fract_x
_atom_site_fract_y
_atom_site_fract_z
_atom_site_occupancy
Li1 0.000 0.000 0.000 1
Li2 0.250 0.250 0.250 1
Pm1 0.000 0.000 0.500 1
Ge1 0.250 0.250 0.750 1
S1 0.000 0.017 0.757 1
S2 0.238 0.250 0.993 1
```

Principal peaks in the range 2θ = 10–80°, low angle first:
2θ = 13.9°, I 27
2θ = 14.4°, I 65
2θ = 26.9°, I 36
2θ = 33.1°, I 100
2θ = 35.8°, I 20
2θ = 47.5°, I 46

For LiPrGe2, a cell relaxed with PBE gives the calculated X-ray powder pattern in this record (copper Kα).
Peak positions follow from Bragg's law for the DFT cell and can differ from measured ones.

Cell and atoms:
```
data_LiPrGe2
_chemical_formula_sum 'Li4 Pr4 Ge8'
_space_group_name_H-M_alt 'P n m a'
_space_group_IT_number 62
_cell_length_a 7.853
_cell_length_b 3.998
_cell_length_c 10.766
_cell_angle_alpha 90.00
_cell_angle_beta 90.00
_cell_angle_gamma 90.00
loop_
_space_group_symop_operation_xyz
'x,y,z'
'-x,-y,-z'
'-x+1/2,-y,z+1/2'
'x+1/2,y,-z+1/2'
'x+1/2,-y+1/2,-z+1/2'
'-x+1/2,y+1/2,z+1/2'
'-x,y+1/2,-z'
'x,-y+1/2,z'
loop_
_atom_site_label
_atom_site_fract_x
_atom_site_fract_y
_atom_site_fract_z
_atom_site_occupancy
Li1 0.009 0.250 0.110 1
Pr1 0.140 0.750 0.365 1
Ge1 0.157 0.750 0.683 1
Ge2 0.220 0.750 0.067 1
```

Principal peaks in the range 2θ = 10–80°, low angle first:
2θ = 14.0°, I 46
2θ = 22.6°, I 31
2θ = 27.3°, I 36
2θ = 31.9°, I 100
2θ = 33.6°, I 46
2θ = 35.5°, I 80

For Li3PrGe3, a cell relaxed with PBE gives the calculated X-ray powder pattern in this record (copper Kα).
Peak positions follow from Bragg's law for the DFT cell and can differ from measured ones.

Cell and atoms:
```
data_Li3PrGe3
_chemical_formula_sum 'Li6 Pr2 Ge6'
_space_group_name_H-M_alt 'P m -3 n'
_space_group_IT_number 223
_space_group_name_Hall '-P 4n 2 3'
_cell_length_a 6.682
_cell_length_b 6.682
_cell_length_c 6.682
_cell_angle_alpha 90.00
_cell_angle_beta 90.00
_cell_angle_gamma 90.00
loop_
_atom_site_label
_atom_site_fract_x
_atom_site_fract_y
_atom_site_fract_z
_atom_site_occupancy
Li1 0.000 0.250 0.500 1
Pr1 0.000 0.000 0.000 1
Ge1 0.000 0.500 0.250 1
```

Principal peaks in the range 2θ = 10–80°, low angle first:
2θ = 26.7°, I 43
2θ = 29.9°, I 51
2θ = 32.8°, I 100
2θ = 51.1°, I 57
2θ = 55.0°, I 17
2θ = 78.4°, I 16

For Li6PrGe2, a cell relaxed with PBE gives the calculated X-ray powder pattern in this record (copper Kα).
Peak positions follow from Bragg's law for the DFT cell and can differ from measured ones.

Cell and atoms:
```
data_Li6PrGe2
_chemical_formula_sum 'Li6 Pr1 Ge2'
_space_group_name_H-M_alt 'P 4/m m m'
_space_group_IT_number 123
_space_group_name_Hall '-P 4 2'
_cell_length_a 4.360
_cell_length_b 4.360
_cell_length_c 9.184
_cell_angle_alpha 90.00
_cell_angle_beta 90.00
_cell_angle_gamma 90.00
loop_
_atom_site_label
_atom_site_fract_x
_atom_site_fract_y
_atom_site_fract_z
_atom_site_occupancy
Li1 0.000 0.000 0.000 1
Li2 0.000 0.500 0.214 1
Li3 0.500 0.500 0.000 1
Pr1 0.000 0.000 0.500 1
Ge1 0.500 0.500 0.363 1
```

Principal peaks in the range 2θ = 10–80°, low angle first:
2θ = 28.2°, I 60
2θ = 29.0°, I 84
2θ = 30.6°, I 100
2θ = 35.8°, I 86
2θ = 44.6°, I 52
2θ = 55.9°, I 47

For Li5Pr3Ge2, a cell relaxed with PBE gives the calculated X-ray powder pattern in this record (copper Kα).
Peak positions follow from Bragg's law for the DFT cell and can differ from measured ones.

Cell and atoms:
```
data_Li5Pr3Ge2
_chemical_formula_sum 'Li20 Pr12 Ge8'
_space_group_name_H-M_alt 'I b a m'
_space_group_IT_number 72
_space_group_name_Hall '-I 2 2c'
_cell_length_a 12.292
_cell_length_b 12.945
_cell_length_c 6.036
_cell_angle_alpha 90.00
_cell_angle_beta 90.00
_cell_angle_gamma 90.00
loop_
_atom_site_label
_atom_site_fract_x
_atom_site_fract_y
_atom_site_fract_z
_atom_site_occupancy
Li1 0.000 0.000 0.250 1
Li2 0.120 0.141 0.000 1
Li3 0.249 0.000 0.250 1
Pr1 0.000 0.500 0.250 1
Pr2 0.129 0.249 0.500 1
Ge1 0.137 0.339 0.000 1
```

Principal peaks in the range 2θ = 10–80°, low angle first:
2θ = 13.7°, I 54
2θ = 29.3°, I 86
2θ = 32.2°, I 100
2θ = 32.7°, I 92
2θ = 40.7°, I 73
2θ = 42.0°, I 63

For Li8Pr7Ge10, a cell relaxed with PBE gives the calculated X-ray powder pattern in this record (copper Kα).
Peak positions follow from Bragg's law for the DFT cell and can differ from measured ones.

Cell and atoms:
```
data_Li8Pr7Ge10
_chemical_formula_sum 'Li16 Pr14 Ge20'
_space_group_name_H-M_alt 'C m m m'
_space_group_IT_number 65
_space_group_name_Hall '-C 2 2'
_cell_length_a 6.943
_cell_length_b 33.756
_cell_length_c 4.476
_cell_angle_alpha 90.00
_cell_angle_beta 90.00
_cell_angle_gamma 90.00
loop_
_atom_site_label
_atom_site_fract_x
_atom_site_fract_y
_atom_site_fract_z
_atom_site_occupancy
Li1 0.187 0.143 0.000 1
Li2 0.190 0.425 0.500 1
Pr1 0.000 0.058 0.000 1
Pr2 0.000 0.221 0.500 1
Pr3 0.000 0.339 0.500 1
Pr4 0.000 0.500 0.000 1
Ge1 0.000 0.127 0.500 1
Ge2 0.000 0.406 0.000 1
Ge3 0.183 0.285 0.000 1
Ge4 0.185 0.000 0.500 1
```

Principal peaks in the range 2θ = 10–80°, low angle first:
2θ = 22.5°, I 20
2θ = 25.7°, I 26
2θ = 31.9°, I 19
2θ = 33.1°, I 72
2θ = 33.7°, I 100
2θ = 40.3°, I 28

For LiPr2Ge3, a cell relaxed with PBE gives the calculated X-ray powder pattern in this record (copper Kα).
Peak positions follow from Bragg's law for the DFT cell and can differ from measured ones.

Cell and atoms:
```
data_LiPr2Ge3
_chemical_formula_sum 'Li8 Pr16 Ge24'
_space_group_name_H-M_alt 'F m m m'
_space_group_IT_number 69
_space_group_name_Hall '-F 2 2'
_cell_length_a 8.476
_cell_length_b 8.569
_cell_length_c 14.764
_cell_angle_alpha 90.00
_cell_angle_beta 90.00
_cell_angle_gamma 90.00
loop_
_atom_site_label
_atom_site_fract_x
_atom_site_fract_y
_atom_site_fract_z
_atom_site_occupancy
Li1 0.000 0.000 0.166 1
Pr1 0.240 0.000 0.500 1
Pr2 0.250 0.250 0.250 1
Ge1 0.000 0.000 0.330 1
Ge2 0.000 0.241 0.085 1
```

Principal peaks in the range 2θ = 10–80°, low angle first:
2θ = 24.0°, I 28
2θ = 32.1°, I 100
2θ = 32.2°, I 50
2θ = 42.4°, I 39
2θ = 54.0°, I 22
2θ = 61.7°, I 25

For Li8Ge6Pt, a cell relaxed with PBE gives the calculated X-ray powder pattern in this record (copper Kα).
Peak positions follow from Bragg's law for the DFT cell and can differ from measured ones.

Cell and atoms:
```
data_Li8Ge6Pt
_chemical_formula_sum 'Li24 Ge18 Pt3'
_space_group_name_H-M_alt 'R -3'
_space_group_IT_number 148
_space_group_name_Hall '-R 3'
_cell_length_a 7.2918
_cell_length_b 7.2918
_cell_length_c 16.2679
_cell_angle_alpha 90.00
_cell_angle_beta 90.00
_cell_angle_gamma 120.00
loop_
_atom_site_label
_atom_site_fract_x
_atom_site_fract_y
_atom_site_fract_z
_atom_site_occupancy
Li1 0.0000 0.0000 0.0977 1
Li2 0.0363 0.2639 0.6262 1
Ge1 0.0053 0.7248 0.2099 1
Pt1 0.0000 0.0000 0.5000 1
```

Principal peaks in the range 2θ = 10–80°, low angle first:
2θ = 15.0°, I 44
2θ = 16.3°, I 100
2θ = 29.5°, I 39
2θ = 38.1°, I 31
2θ = 41.5°, I 43
2θ = 43.0°, I 29